# Na3Dy2UTe6
Theoretical X-ray powder pattern, Cu Kα. Input: a PBE-relaxed structure.

```
data_Na3Dy2UTe6
_chemical_formula_sum 'Na3 Dy2 U1 Te6'
_cell_length_a 7.6925
_cell_length_b 7.6925
_cell_length_c 8.0029
_cell_angle_alpha 99.22
_cell_angle_beta 99.22
_cell_angle_gamma 120.00
_symmetry_space_group_name_H-M 'P 1'
_symmetry_Int_Tables_number 1
loop_
_symmetry_equiv_pos_as_xyz
'x,y,z'
loop_
_atom_site_label
_atom_site_type_symbol
_atom_site_fract_x
_atom_site_fract_y
_atom_site_fract_z
Na1 Na 0.0000 0.0000 0.0000
Na2 Na 0.3343 0.6657 0.0000
Na3 Na 0.6657 0.3343 0.0000
Dy1 Dy 0.1667 0.8333 0.5000
Dy2 Dy 0.8333 0.1667 0.5000
U1 U 0.5000 0.5000 0.5000
Te1 Te 0.0844 0.4219 0.2657
Te2 Te 0.2405 0.2405 0.7343
Te3 Te 0.4219 0.0844 0.2657
Te4 Te 0.5781 0.9156 0.7343
Te5 Te 0.7595 0.7595 0.2657
Te6 Te 0.9156 0.5781 0.7343
```

Peak list (10 most intense, 15 to 90 degrees two-theta, sorted by position)
2θ 23.5, d 3.792, I 17
2θ 28.0, d 3.186, I 100
2θ 36.2, d 2.482, I 11
2θ 39.4, d 2.286, I 39
2θ 40.6, d 2.221, I 37
2θ 50.1, d 1.822, I 26
2θ 57.9, d 1.593, I 13
2θ 64.7, d 1.442, I 17
2θ 66.4, d 1.408, I 20
2θ 73.1, d 1.294, I 13